Calculated PXRD pattern
Compound: Li4Ni7O11
Radiation: Cu Kα, 1.54184 Å
Structure: a cell relaxed with GGA+U
Kinematic intensities with the Lorentz-polarization factor, no thermal factor.

The 8 most intense peaks (15 to 90 degrees two-theta), low angle first:
- 18.60°, d = 4.772 Å, intensity 100, (0 1 -2)
- 37.64°, d = 2.390 Å, intensity 67, (-1 2 2)
- 37.70°, d = 2.386 Å, intensity 22, (0 2 -4)
- 43.49°, d = 2.081 Å, intensity 68, (2 1 -3)
- 43.78°, d = 2.068 Å, intensity 65, (1 -4 2)
- 43.99°, d = 2.058 Å, intensity 65, (1 1 3)
- 63.35°, d = 1.468 Å, intensity 19, (-3 3 1)
- 63.53°, d = 1.465 Å, intensity 37, (1 0 -6)

Structural model:
```
44
Lattice="5.0824 0.0000 0.0000 -0.8344 8.7354 0.0000 -0.9382 -4.0119 8.7769" Properties=species:S:1:pos:R:3 pbc="T T T"
Li -0.0460 1.2682 0.7943
Li 0.0141 3.6639 2.3556
Li -0.0772 6.1506 3.9670
Li 0.7865 2.3198 7.1966
Li 2.5233 2.4038 1.5802
Li 3.3869 -1.4271 4.8099
Li 3.2957 1.0596 6.4212
Li 3.3558 3.4553 7.9825
Ni -0.8888 3.5681 5.2124
Ni -0.0891 -2.6958 6.7789
Ni -0.0908 -0.2766 8.4005
Ni 0.7922 -0.1617 5.5826
Ni 0.8462 6.1933 1.1920
Ni 1.6682 -0.0757 2.7937
Ni 2.5412 0.0000 0.0000
Ni 1.6549 2.3618 4.3884
Ni 1.6416 4.7992 5.9831
Ni 2.4636 -1.4697 7.5848
Ni 2.5176 4.8853 3.1942
Ni 3.4006 5.0002 0.3763
Ni 3.3989 7.4193 1.9980
Ni 4.1986 1.1554 3.5644
O -0.8517 -0.8196 6.5976
O -0.0424 -0.6743 3.7922
O -0.8660 1.5962 8.3125
O 0.0915 7.9547 1.0210
O 0.0940 1.7538 5.2931
O -0.0688 4.2233 6.9814
O 0.8541 1.8182 2.7403
O 0.7547 -2.1643 8.5557
O 0.8852 4.0870 4.2104
O 1.6691 4.4645 1.3745
O 1.6600 -1.9873 5.8969
O 1.6497 6.7108 2.8800
O 1.6407 0.2590 7.4024
O 2.4246 0.6366 4.5665
O 2.5551 6.8878 0.2211
O 2.4557 2.9053 6.0366
O 3.3786 0.5002 1.7955
O 3.2158 2.9698 3.4837
O 3.2183 -3.2311 7.7558
O 4.1758 3.1274 0.4644
O 3.3522 5.3979 4.9847
O 4.1615 5.5431 2.1792
```